1.
Theoretical powder XRD pattern of DyGa2Ni for Cu Kα (weighted mean of Kα1 and Kα2), from a GGA-PBE-relaxed structure.
Lines closer than 0.1° are merged.

Main lines, low angle first (10° ≤ 2θ ≤ 90°):
36.07 deg, intensity 100, hkl 1 1 2; 37.24 deg, intensity 85, hkl 1 3 1; 38.51 deg, intensity 40, hkl 0 4 1; 43.78 deg, intensity 37, hkl 2 0 0; 44.49 deg, intensity 16, hkl 1 3 2; 45.23 deg, intensity 23, hkl 0 2 3; 59.70 deg, intensity 22, hkl 2 4 1; 64.77 deg, intensity 16, hkl 2 2 3; 67.32 deg, intensity 14, hkl 1 5 3; 69.58 deg, intensity 17, hkl 1 7 0

Crystal structure
```
data_DyGa2Ni
_chemical_formula_sum 'Dy4 Ga8 Ni4'
_symmetry_space_group_name_H-M 'C m c m'
_symmetry_Int_Tables_number 63
_symmetry_space_group_name_Hall '-C 2c 2'
_cell_length_a 4.135
_cell_length_b 10.008
_cell_length_c 6.565
_cell_angle_alpha 90.00
_cell_angle_beta 90.00
_cell_angle_gamma 90.00
loop_
_atom_site_label
_atom_site_type_symbol
_atom_site_fract_x
_atom_site_fract_y
_atom_site_fract_z
Dy1 Dy 0.000 0.076 0.250
Ga1 Ga 0.000 0.359 0.053
Ni1 Ni 0.000 0.206 0.750
```



2.
Theoretical powder XRD pattern of Nd3SbO7 for Cu Kα (weighted mean of Kα1 and Kα2), from a GGA-PBE-relaxed structure.
Lines closer than 0.1° are merged.

Main lines, low angle first (10° ≤ 2θ ≤ 90°):
28.22 deg, intensity 100, hkl 2 0 2; 28.52 deg, intensity 93, hkl 2 2 0; 32.64 deg, intensity 22, hkl 4 0 0; 32.99 deg, intensity 44, hkl 0 2 2; 44.55 deg, intensity 12, hkl 5 1 1; 46.96 deg, intensity 18, hkl 0 0 4; 47.09 deg, intensity 51, hkl 4 2 2; 55.86 deg, intensity 28, hkl 2 2 4; 56.37 deg, intensity 21, hkl 2 4 2; 75.78 deg, intensity 14, hkl 2 0 6

Crystal structure
```
data_Nd3SbO7
_chemical_formula_sum 'Nd12 Sb4 O28'
_symmetry_space_group_name_H-M 'C m c m'
_symmetry_Int_Tables_number 63
_symmetry_space_group_name_Hall '-C 2c 2'
_cell_length_a 10.973
_cell_length_b 7.622
_cell_length_c 7.739
_cell_angle_alpha 90.00
_cell_angle_beta 90.00
_cell_angle_gamma 90.00
loop_
_atom_site_label
_atom_site_type_symbol
_atom_site_fract_x
_atom_site_fract_y
_atom_site_fract_z
Nd1 Nd 0.000 0.000 0.000
Nd2 Nd 0.227 0.291 0.250
Sb1 Sb 0.000 0.500 0.000
O1 O 0.000 0.420 0.250
O2 O 0.126 0.313 0.533
O3 O 0.132 0.020 0.250
```



3.
Theoretical powder XRD pattern of CsBr2F7 for Cu Kα (weighted mean of Kα1 and Kα2), from a GGA-PBE-relaxed structure.
Lines closer than 0.1° are merged.

Main lines, low angle first (10° ≤ 2θ ≤ 90°):
21.21 deg, intensity 85, hkl 1 1 -3; 22.48 deg, intensity 100, hkl 2 0 -2; 24.26 deg, intensity 98, hkl 1 0 2; 24.88 deg, intensity 29, hkl 2 1 -2; 25.20 deg, intensity 67, hkl 1 2 -2; 25.82 deg, intensity 86, hkl 2 1 -1; 26.75 deg, intensity 29, hkl 1 1 -4; 28.12 deg, intensity 54, hkl 1 2 1; 37.94 deg, intensity 46, hkl 1 2 3; 44.05 deg, intensity 27, hkl 0 4 1

Crystal structure
```
data_CsBr2F7
_chemical_formula_sum 'Cs4 Br8 F28'
_symmetry_space_group_name_H-M 'P 1 21/c 1'
_symmetry_Int_Tables_number 14
_cell_length_a 7.925
_cell_length_b 8.337
_cell_length_c 14.600
_cell_angle_alpha 90.00
_cell_angle_beta 122.26
_cell_angle_gamma 90.00
loop_
_symmetry_equiv_pos_as_xyz
'x,y,z'
'-x,-y,-z'
'-x,y+1/2,-z+1/2'
'x,-y+1/2,z+1/2'
loop_
_atom_site_label
_atom_site_type_symbol
_atom_site_fract_x
_atom_site_fract_y
_atom_site_fract_z
Cs1 Cs 0.121 0.082 0.191
Br1 Br 0.240 0.577 0.121
Br2 Br 0.482 0.223 0.017
F1 F 0.052 0.527 0.153
F2 F 0.088 0.735 0.545
F3 F 0.237 0.161 0.890
F4 F 0.275 0.725 0.850
F5 F 0.383 0.109 0.698
F6 F 0.417 0.090 0.094
F7 F 0.462 0.622 0.082
```



4.
Theoretical powder XRD pattern of LiTeH5O6 for Cu Kα (weighted mean of Kα1 and Kα2), from a GGA-PBE-relaxed structure.
Lines closer than 0.1° are merged.

Main lines, low angle first (10° ≤ 2θ ≤ 90°):
20.05 deg, intensity 100, hkl 1 1 0; 23.10 deg, intensity 41, hkl 2 0 -2; 23.36 deg, intensity 17, hkl 0 2 0; 33.09 deg, intensity 19, hkl 2 2 -2; 38.83 deg, intensity 30, hkl 1 1 2; 39.16 deg, intensity 13, hkl 1 3 0; 40.75 deg, intensity 10, hkl 2 2 0; 52.05 deg, intensity 13, hkl 1 3 2; 53.33 deg, intensity 10, hkl 4 2 -4; 58.87 deg, intensity 13, hkl 2 2 2

Crystal structure
```
data_LiTeH5O6
_chemical_formula_sum 'Li4 Te4 H20 O24'
_symmetry_space_group_name_H-M 'P 1 c 1'
_symmetry_Int_Tables_number 7
_cell_length_a 7.698
_cell_length_b 7.615
_cell_length_c 10.887
_cell_angle_alpha 90.00
_cell_angle_beta 134.99
_cell_angle_gamma 90.00
loop_
_symmetry_equiv_pos_as_xyz
'x,y,z'
'x,-y,z+1/2'
loop_
_atom_site_label
_atom_site_type_symbol
_atom_site_fract_x
_atom_site_fract_y
_atom_site_fract_z
Li1 Li 0.000 0.001 0.000
Li2 Li 0.496 0.498 0.509
Te1 Te 0.018 0.497 0.509
Te2 Te 0.521 0.006 0.523
H1 H 0.071 0.061 0.777
H2 H 0.253 0.284 0.751
H3 H 0.270 0.222 0.513
H4 H 0.291 0.255 0.078
H5 H 0.358 0.239 0.296
H6 H 0.659 0.244 0.227
H7 H 0.729 0.262 0.447
H8 H 0.735 0.214 0.004
H9 H 0.769 0.281 0.777
H10 H 0.978 0.439 0.215
O1 O 0.170 0.265 0.088
O2 O 0.172 0.425 0.440
O3 O 0.210 0.068 0.784
O4 O 0.284 0.410 0.748
O5 O 0.309 0.093 0.549
O6 O 0.501 0.236 0.428
O7 O 0.517 0.233 0.096
O8 O 0.693 0.089 0.965
O9 O 0.734 0.408 0.781
O10 O 0.814 0.076 0.746
O11 O 0.850 0.265 0.436
O12 O 0.853 0.431 0.083
```



Question: What is the formula in the third record?
Answer: CsBr2F7



Please write out number 4 again, unchanged.
Theoretical powder XRD pattern of LiTeH5O6 for Cu Kα (weighted mean of Kα1 and Kα2), from a GGA-PBE-relaxed structure.
Lines closer than 0.1° are merged.

Main lines, low angle first (10° ≤ 2θ ≤ 90°):
20.05 deg, intensity 100, hkl 1 1 0; 23.10 deg, intensity 41, hkl 2 0 -2; 23.36 deg, intensity 17, hkl 0 2 0; 33.09 deg, intensity 19, hkl 2 2 -2; 38.83 deg, intensity 30, hkl 1 1 2; 39.16 deg, intensity 13, hkl 1 3 0; 40.75 deg, intensity 10, hkl 2 2 0; 52.05 deg, intensity 13, hkl 1 3 2; 53.33 deg, intensity 10, hkl 4 2 -4; 58.87 deg, intensity 13, hkl 2 2 2

Crystal structure
```
data_LiTeH5O6
_chemical_formula_sum 'Li4 Te4 H20 O24'
_symmetry_space_group_name_H-M 'P 1 c 1'
_symmetry_Int_Tables_number 7
_cell_length_a 7.698
_cell_length_b 7.615
_cell_length_c 10.887
_cell_angle_alpha 90.00
_cell_angle_beta 134.99
_cell_angle_gamma 90.00
loop_
_symmetry_equiv_pos_as_xyz
'x,y,z'
'x,-y,z+1/2'
loop_
_atom_site_label
_atom_site_type_symbol
_atom_site_fract_x
_atom_site_fract_y
_atom_site_fract_z
Li1 Li 0.000 0.001 0.000
Li2 Li 0.496 0.498 0.509
Te1 Te 0.018 0.497 0.509
Te2 Te 0.521 0.006 0.523
H1 H 0.071 0.061 0.777
H2 H 0.253 0.284 0.751
H3 H 0.270 0.222 0.513
H4 H 0.291 0.255 0.078
H5 H 0.358 0.239 0.296
H6 H 0.659 0.244 0.227
H7 H 0.729 0.262 0.447
H8 H 0.735 0.214 0.004
H9 H 0.769 0.281 0.777
H10 H 0.978 0.439 0.215
O1 O 0.170 0.265 0.088
O2 O 0.172 0.425 0.440
O3 O 0.210 0.068 0.784
O4 O 0.284 0.410 0.748
O5 O 0.309 0.093 0.549
O6 O 0.501 0.236 0.428
O7 O 0.517 0.233 0.096
O8 O 0.693 0.089 0.965
O9 O 0.734 0.408 0.781
O10 O 0.814 0.076 0.746
O11 O 0.850 0.265 0.436
O12 O 0.853 0.431 0.083
```